The following is a simulated XRD peak list of MnV3Rh4. It was derived from a GGA-PBE-relaxed structure, using Cu Kα (weighted mean of Kα1 and Kα2).
No peak broadening, texture or thermal motion is included.

Most intense lines, 2θ = 10–90°, low angle first:
3.147 Å, I = 21, hkl 2 0 1; 2.275 Å, I = 28, hkl 1 2 1; 2.224 Å, I = 22, hkl 1 0 2; 2.157 Å, I = 42, hkl 4 0 0; 2.070 Å, I = 100, hkl 2 2 1; 2.030 Å, I = 24, hkl 2 0 2; 1.824 Å, I = 14, hkl 3 2 1; 1.340 Å, I = 14, hkl 0 2 3; 1.228 Å, I = 17, hkl 6 2 1; 1.138 Å, I = 24, hkl 4 2 3

Structure:
Cell: 8.627 5.494 4.603 Å, 90.00 90.00 90.00°
Space group Pmma (No. 51)
One atom of each set of equivalent atoms:
Mn1 0.000 0.000 0.000
V1 0.000 0.500 0.000
V2 0.250 0.000 0.347
V3 0.250 0.500 0.361
Rh1 0.000 0.250 0.500
Rh2 0.250 0.248 0.866